This entry pairs a crystal structure of MnSi4O10 with its simulated powder XRD pattern. Radiation: Cu Kα. Structure: the GGA+U geometry in Alexandria.

Principal peaks in the range 10° ≤ 2θ ≤ 90°, in order of rising 2θ:
2theta, d (Å), Rel. int., h k l
10.8, 8.202, 22, 0 0 2
16.5, 5.376, 58, 1 1 0
21.7, 4.101, 100, 0 0 4
23.4, 3.802, 55, 2 0 0
24.7, 3.610, 57, 1 0 4
25.8, 3.449, 35, 2 0 2
28.4, 3.141, 78, 2 1 2
33.3, 2.688, 24, 2 2 0
45.8, 1.980, 20, 1 0 8
48.5, 1.875, 20, 3 2 4

Atomic structure:
Unit cell a=7.603 b=7.603 c=16.404 alpha=90.00 beta=90.00 gamma=90.00
Space group P4/ncc (No. 130, origin choice 2)
Asymmetric unit:
Mn: 0.250 0.250 0.095 [4 per cell]
Si: 0.042 0.044 0.345 [16 per cell]
O: 0.001 0.501 0.250 [8 per cell]
O: 0.003 0.249 0.863 [16 per cell]
O: 0.074 0.078 0.094 [16 per cell]